Record 1
Diffraction record for Eu2SeO2. The X-ray powder pattern is theoretical, not measured: it uses DFT lattice parameters and positions (PBE) and a wavelength of 1.5418 Å.
Intensities are scaled so that the largest is 100.

Crystal structure
```
data_Eu2SeO2
_chemical_formula_sum 'Eu4 Se2 O4'
_space_group_name_H-M_alt 'P 1'
_space_group_IT_number 1
_cell_length_a 3.9487
_cell_length_b 3.9487
_cell_length_c 12.6484
_cell_angle_alpha 90.00
_cell_angle_beta 90.00
_cell_angle_gamma 90.00
loop_
_space_group_symop_operation_xyz
'x,y,z'
loop_
_atom_site_label
_atom_site_fract_x
_atom_site_fract_y
_atom_site_fract_z
_atom_site_occupancy
Eu1 0.0000 0.0000 0.1577 1
Eu2 0.0000 0.0000 0.8423 1
Eu3 0.5000 0.5000 0.3423 1
Eu4 0.5000 0.5000 0.6577 1
Se1 0.0000 0.0000 0.5000 1
Se2 0.5000 0.5000 0.0000 1
O1 0.0000 0.5000 0.2500 1
O2 0.0000 0.5000 0.7500 1
O3 0.5000 0.0000 0.2500 1
O4 0.5000 0.0000 0.7500 1
```

Most intense lines, 2θ from 5° to 70°, in order of rising 2θ:
two_theta  Rel. int.  index
14.00  7  0 0 2
23.60  10  1 0 1
31.03  100  1 0 3
32.06  39  1 1 0
42.90  8  0 0 6
43.23  7  1 1 4
45.97  20  2 0 0
54.54  22  1 1 6
55.96  3  1 0 7
56.50  36  2 1 3
64.68  10  2 0 6
67.04  6  2 2 0



Record 2
Diffraction record for SmSi3Os. The X-ray powder pattern is theoretical, not measured: it uses DFT lattice parameters and positions (PBE) and a wavelength of 1.5418 Å.
Intensities are scaled so that the largest is 100.

Crystal structure
```
data_SmSi3Os
_chemical_formula_sum 'Sm2 Si6 Os2'
_space_group_name_H-M_alt 'P 1'
_space_group_IT_number 1
_cell_length_a 4.2238
_cell_length_b 4.2238
_cell_length_c 9.9353
_cell_angle_alpha 90.00
_cell_angle_beta 90.00
_cell_angle_gamma 90.00
loop_
_space_group_symop_operation_xyz
'x,y,z'
loop_
_atom_site_label
_atom_site_fract_x
_atom_site_fract_y
_atom_site_fract_z
_atom_site_occupancy
Sm1 0.0000 0.0000 0.0000 1
Sm2 0.5000 0.5000 0.5000 1
Si1 0.0000 0.0000 0.4205 1
Si2 0.0000 0.5000 0.2637 1
Si3 0.0000 0.5000 0.7637 1
Si4 0.5000 0.0000 0.2637 1
Si5 0.5000 0.0000 0.7637 1
Si6 0.5000 0.5000 0.9205 1
Os1 0.0000 0.0000 0.6564 1
Os2 0.5000 0.5000 0.1564 1
```

Most intense lines, 2θ from 5° to 70°, in order of rising 2θ:
two_theta  Rel. int.  index
17.86  22  0 0 2
22.88  52  1 0 1
29.92  62  1 1 0
34.41  100  1 0 3
35.06  41  1 1 2
42.82  44  2 0 0
49.09  14  2 1 1
50.78  18  1 0 5
56.05  50  2 1 3
62.16  15  2 2 0
64.33  18  1 1 6
68.54  15  2 1 5



Record 3
Diffraction record for BaYCuSnO5. The X-ray powder pattern is theoretical, not measured: it uses DFT lattice parameters and positions (PBE) and a wavelength of 1.5418 Å.
Intensities are scaled so that the largest is 100.

Crystal structure
```
data_BaYCuSnO5
_chemical_formula_sum 'Ba1 Y1 Cu1 Sn1 O5'
_space_group_name_H-M_alt 'P 1'
_space_group_IT_number 1
_cell_length_a 3.9874
_cell_length_b 3.9874
_cell_length_c 8.4915
_cell_angle_alpha 90.00
_cell_angle_beta 90.00
_cell_angle_gamma 90.00
loop_
_space_group_symop_operation_xyz
'x,y,z'
loop_
_atom_site_label
_atom_site_fract_x
_atom_site_fract_y
_atom_site_fract_z
_atom_site_occupancy
Ba1 0.0000 0.0000 0.0000 1
Y1 0.0000 0.0000 0.4089 1
Cu1 0.5000 0.5000 0.2435 1
Sn1 0.5000 0.5000 0.6657 1
O1 0.0000 0.5000 0.2464 1
O2 0.0000 0.5000 0.5859 1
O3 0.5000 0.0000 0.2464 1
O4 0.5000 0.0000 0.5859 1
O5 0.5000 0.5000 0.9016 1
```

Most intense lines, 2θ from 5° to 70°, in order of rising 2θ:
two_theta  Rel. int.  index
24.67  28  1 0 1
30.76  100  1 0 2
31.61  14  0 0 3
31.74  52  1 1 0
39.02  14  1 0 3
45.46  54  2 0 0
54.05  12  0 0 5
55.93  37  2 1 2
56.45  10  2 0 3
59.13  13  1 0 5
64.03  9  1 1 5
66.30  10  2 2 0



Record 4
Diffraction record for HoSnO3. The X-ray powder pattern is theoretical, not measured: it uses DFT lattice parameters and positions (PBE) and a wavelength of 1.5418 Å.
Intensities are scaled so that the largest is 100.

Crystal structure
```
data_HoSnO3
_chemical_formula_sum 'Ho1 Sn1 O3'
_space_group_name_H-M_alt 'P 1'
_space_group_IT_number 1
_cell_length_a 4.3518
_cell_length_b 4.3518
_cell_length_c 4.3518
_cell_angle_alpha 90.00
_cell_angle_beta 90.00
_cell_angle_gamma 90.00
loop_
_space_group_symop_operation_xyz
'x,y,z'
loop_
_atom_site_label
_atom_site_fract_x
_atom_site_fract_y
_atom_site_fract_z
_atom_site_occupancy
Ho1 0.0000 0.0000 0.0000 1
Sn1 0.5000 0.5000 0.5000 1
O1 0.0000 0.0000 0.5000 1
O2 0.0000 0.5000 0.0000 1
O3 0.5000 0.0000 0.0000 1
```

Most intense lines, 2θ from 5° to 70°, in order of rising 2θ:
two_theta  Rel. int.  index
20.41  6  1 0 0
29.02  100  1 1 0
41.50  30  2 0 0
46.67  2  2 1 0
51.43  43  2 1 1
60.14  19  2 2 0
64.21  1  3 0 0
68.14  19  3 1 0